For Sr6Bi2O11, the PBE geometry in the Materials Project gives the simulated powder diffraction line list in this record (Cu Ka).
Lines closer than 0.1° are merged.

Top 6 peaks for 10 to 90 degrees two-theta, by intensity:
| Position (°2θ) | I_rel |
| --- | --- |
| 28.26 | 100.0 |
| 28.88 | 52.9 |
| 50.80 | 34.7 |
| 17.32 | 33.3 |
| 41.30 | 32.3 |
| 20.31 | 17.7 |

Cell and atoms:
Cell lengths 8.7445, 8.7445, 9.1300 Å; angles 90.00, 90.00, 90.00 degrees
Fractional coordinates of all 38 atoms:
Sr 0.0274 0.0274 0.2075
Sr 0.0274 0.4726 0.2075
Sr 0.2500 0.2500 0.9310
Sr 0.2500 0.7500 0.5000
Sr 0.4726 0.0274 0.2075
Sr 0.4726 0.4726 0.2075
Sr 0.5274 0.5274 0.7925
Sr 0.5274 0.9726 0.7925
Sr 0.7500 0.2500 0.5000
Sr 0.7500 0.7500 0.0690
Sr 0.9726 0.5274 0.7925
Sr 0.9726 0.9726 0.7925
Bi 0.2500 0.2500 0.4594
Bi 0.2500 0.7500 0.0000
Bi 0.7500 0.2500 0.0000
Bi 0.7500 0.7500 0.5406
O 0.0036 0.7500 0.9839
O 0.0202 0.2500 0.3859
O 0.2500 0.0202 0.3859
O 0.2500 0.2500 0.6827
O 0.2500 0.4798 0.3859
O 0.2500 0.5036 0.0161
O 0.2500 0.7500 0.2290
O 0.2500 0.7500 0.7710
O 0.2500 0.9964 0.0161
O 0.4798 0.2500 0.3859
O 0.4964 0.7500 0.9839
O 0.5036 0.2500 0.0161
O 0.5202 0.7500 0.6141
O 0.7500 0.0036 0.9839
O 0.7500 0.2500 0.2290
O 0.7500 0.2500 0.7710
O 0.7500 0.4964 0.9839
O 0.7500 0.5202 0.6141
O 0.7500 0.7500 0.3173
O 0.7500 0.9798 0.6141
O 0.9798 0.7500 0.6141
O 0.9964 0.2500 0.0161

=====

For SrBi5O9, the PBE geometry in the Materials Project gives the simulated powder diffraction line list in this record (Cu Ka).
Lines closer than 0.1° are merged.

Top 6 peaks for 10 to 90 degrees two-theta, by intensity:
| Position (°2θ) | I_rel |
| --- | --- |
| 25.54 | 100.0 |
| 28.35 | 76.0 |
| 28.04 | 73.4 |
| 28.58 | 69.6 |
| 16.94 | 33.3 |
| 30.09 | 29.9 |

Cell and atoms:
Cell lengths 3.9035, 7.0083, 10.7023 Å; angles 82.90, 80.32, 89.87 degrees
Fractional coordinates of all 15 atoms:
Sr 0.0000 0.0000 0.0000
Bi 0.1496 0.3842 0.6882
Bi 0.3564 0.1038 0.3064
Bi 0.5129 0.5035 0.9689
Bi 0.6386 0.8720 0.6867
Bi 0.8624 0.6044 0.2902
O 0.0459 0.3449 0.8916
O 0.1756 0.8375 0.6057
O 0.3624 0.7736 0.2873
O 0.4492 0.1517 0.1075
O 0.5508 0.8403 0.8916
O 0.6114 0.5470 0.7426
O 0.6331 0.1812 0.6930
O 0.8524 0.2728 0.3169
O 0.9556 0.6315 0.0900